# NpB11
Theoretical powder X-ray diffraction pattern, Cu Kα. Input: a crystal structure in Alexandria, relaxed with GGA-PBE.

Structural model:
abc: 6.3950 6.3950 6.3950
angles: 113.52 113.52 101.64
Sites, in units of the cell vectors:
Np: 0.3750 0.6250 0.7500
Np: 0.6250 0.3750 0.2500
B: 0.0000 0.0000 0.0000
B: 0.0000 0.0000 0.5000
B: 0.0000 0.5000 0.0000
B: 0.1108 0.5383 0.3092
B: 0.1108 0.8016 0.5725
B: 0.1250 0.8750 0.2500
B: 0.1984 0.2709 0.3092
B: 0.1984 0.8892 0.9275
B: 0.2709 0.1984 0.8092
B: 0.2709 0.4617 0.0725
B: 0.4617 0.2709 0.5725
B: 0.4617 0.8892 0.1908
B: 0.5000 0.0000 0.5000
B: 0.5383 0.1108 0.8092
B: 0.5383 0.7291 0.4275
B: 0.7291 0.5383 0.9275
B: 0.7291 0.8016 0.1908
B: 0.8016 0.1108 0.0725
B: 0.8016 0.7291 0.6908
B: 0.8750 0.1250 0.7500
B: 0.8892 0.1984 0.4275
B: 0.8892 0.4617 0.6908

Principal peaks in the range 2θ = 10–80°, by intensity:
16.7 deg, rel. 100; 28.5 deg, rel. 69; 30.6 deg, rel. 57; 46.7 deg, rel. 49; 25.4 deg, rel. 39; 35.7 deg, rel. 27; 59.0 deg, rel. 24; 52.2 deg, rel. 21

=====

# NpB4
Theoretical powder X-ray diffraction pattern, Cu Kα. Input: a crystal structure in Alexandria, relaxed with GGA-PBE.

Structural model:
abc: 7.0638 7.0638 3.9872
angles: 90.00 90.00 90.00
Sites, in units of the cell vectors:
Np: 0.1879 0.3121 0.0000
Np: 0.3121 0.8121 0.0000
Np: 0.6879 0.1879 0.0000
Np: 0.8121 0.6879 0.0000
B: 0.0000 0.0000 0.2009
B: 0.0000 0.0000 0.7991
B: 0.0390 0.8219 0.5000
B: 0.0870 0.5870 0.5000
B: 0.1781 0.0390 0.5000
B: 0.3219 0.5390 0.5000
B: 0.4130 0.0870 0.5000
B: 0.4610 0.3219 0.5000
B: 0.5000 0.5000 0.2009
B: 0.5000 0.5000 0.7991
B: 0.5390 0.6781 0.5000
B: 0.5870 0.9130 0.5000
B: 0.6781 0.4610 0.5000
B: 0.8219 0.9610 0.5000
B: 0.9130 0.4130 0.5000
B: 0.9610 0.1781 0.5000

Principal peaks in the range 2θ = 10–80°, by intensity:
36.3 deg, rel. 100; 28.2 deg, rel. 81; 22.3 deg, rel. 73; 33.9 deg, rel. 69; 25.2 deg, rel. 57; 58.7 deg, rel. 44; 53.5 deg, rel. 35; 72.8 deg, rel. 28

=====

# NpB6
Theoretical powder X-ray diffraction pattern, Cu Kα. Input: a crystal structure in Alexandria, relaxed with GGA-PBE.

Structural model:
abc: 4.0887 4.0887 4.0887
angles: 90.00 90.00 90.00
Sites, in units of the cell vectors:
Np: 0.0000 0.0000 0.0000
B: 0.1978 0.5000 0.5000
B: 0.5000 0.1978 0.5000
B: 0.5000 0.5000 0.1978
B: 0.5000 0.5000 0.8022
B: 0.5000 0.8022 0.5000
B: 0.8022 0.5000 0.5000

Principal peaks in the range 2θ = 10–80°, by intensity:
30.9 deg, rel. 100; 21.7 deg, rel. 82; 49.9 deg, rel. 53; 38.1 deg, rel. 41; 55.0 deg, rel. 33; 68.9 deg, rel. 28; 44.3 deg, rel. 21; 73.2 deg, rel. 20

=====

# Np2BO8
Theoretical powder X-ray diffraction pattern, Cu Kα. Input: a crystal structure in Alexandria, relaxed with GGA-PBE.

Structural model:
abc: 4.1560 6.6962 9.8074
angles: 73.01 83.95 72.01
Sites, in units of the cell vectors:
Np: 0.0978 0.3685 0.3674
Np: 0.9022 0.6315 0.6326
B: 0.0000 0.5000 0.0000
O: 0.0478 0.3457 0.6162
O: 0.0949 0.4876 0.1210
O: 0.2380 0.0891 0.3626
O: 0.4027 0.6278 0.6341
O: 0.5973 0.3722 0.3659
O: 0.7620 0.9109 0.6374
O: 0.9051 0.5124 0.8790
O: 0.9522 0.6543 0.3838

Principal peaks in the range 2θ = 10–80°, by intensity:
14.5 deg, rel. 100; 19.4 deg, rel. 75; 22.9 deg, rel. 62; 22.5 deg, rel. 46; 20.5 deg, rel. 43; 24.3 deg, rel. 43; 28.3 deg, rel. 30; 28.6 deg, rel. 27

=====

# NpBPbO5
Theoretical powder X-ray diffraction pattern, Cu Kα. Input: a crystal structure in Alexandria, relaxed with GGA-PBE.

Structural model:
abc: 5.6880 5.6880 7.7752
angles: 104.19 104.19 105.64
Sites, in units of the cell vectors:
Np: 0.0000 0.0000 0.0000
Np: 0.0000 0.0000 0.5000
B: 0.3122 0.6878 0.7500
B: 0.6878 0.3122 0.2500
Pb: 0.3503 0.6497 0.2500
Pb: 0.6497 0.3503 0.7500
O: 0.0781 0.9219 0.2500
O: 0.1319 0.7004 0.8644
O: 0.2389 0.4147 0.6185
O: 0.2996 0.8681 0.6356
O: 0.4147 0.2389 0.1185
O: 0.5853 0.7611 0.8815
O: 0.7004 0.1319 0.3644
O: 0.7611 0.5853 0.3815
O: 0.8681 0.2996 0.1356
O: 0.9219 0.0781 0.7500

Principal peaks in the range 2θ = 10–80°, by intensity:
25.2 deg, rel. 100; 32.9 deg, rel. 67; 28.4 deg, rel. 58; 50.2 deg, rel. 36; 32.0 deg, rel. 36; 35.1 deg, rel. 31; 17.5 deg, rel. 30; 41.4 deg, rel. 25

=====

# NpB4Os
Theoretical powder X-ray diffraction pattern, Cu Kα. Input: a crystal structure in Alexandria, relaxed with GGA-PBE.

Structural model:
abc: 6.0029 11.6302 3.5131
angles: 90.00 90.00 90.00
Sites, in units of the cell vectors:
Np: 0.1268 0.1499 0.0000
Np: 0.3732 0.6499 0.0000
Np: 0.6268 0.3501 0.0000
Np: 0.8732 0.8501 0.0000
B: 0.0295 0.6919 0.5000
B: 0.1150 0.5467 0.5000
B: 0.1341 0.9684 0.5000
B: 0.2125 0.8122 0.5000
B: 0.2875 0.3122 0.5000
B: 0.3659 0.4684 0.5000
B: 0.3850 0.0467 0.5000
B: 0.4705 0.1919 0.5000
B: 0.5295 0.8081 0.5000
B: 0.6150 0.9533 0.5000
B: 0.6341 0.5316 0.5000
B: 0.7125 0.6878 0.5000
B: 0.7875 0.1878 0.5000
B: 0.8659 0.0316 0.5000
B: 0.8850 0.4533 0.5000
B: 0.9705 0.3081 0.5000
Os: 0.1383 0.4068 0.0000
Os: 0.3617 0.9068 0.0000
Os: 0.6383 0.0932 0.0000
Os: 0.8617 0.5932 0.0000

Principal peaks in the range 2θ = 10–80°, by intensity:
40.3 deg, rel. 100; 30.8 deg, rel. 89; 25.4 deg, rel. 84; 46.2 deg, rel. 32; 61.7 deg, rel. 26; 37.9 deg, rel. 25; 43.1 deg, rel. 25; 34.3 deg, rel. 20

=====

# Np2B10Os
Theoretical powder X-ray diffraction pattern, Cu Kα. Input: a crystal structure in Alexandria, relaxed with GGA-PBE.

Structural model:
abc: 5.6864 11.3249 4.1540
angles: 90.00 90.00 90.00
Sites, in units of the cell vectors:
Np: 0.2118 0.1342 0.0000
Np: 0.2882 0.6342 0.0000
Np: 0.7118 0.3658 0.0000
Np: 0.7882 0.8658 0.0000
B: 0.0584 0.3066 0.5000
B: 0.1185 0.9582 0.5000
B: 0.1320 0.8028 0.5000
B: 0.2225 0.3812 0.1979
B: 0.2225 0.3812 0.8021
B: 0.2775 0.8812 0.1979
B: 0.2775 0.8812 0.8021
B: 0.3680 0.3028 0.5000
B: 0.3815 0.4582 0.5000
B: 0.4416 0.8066 0.5000
B: 0.5584 0.1934 0.5000
B: 0.6185 0.5418 0.5000
B: 0.6320 0.6972 0.5000
B: 0.7225 0.1188 0.1979
B: 0.7225 0.1188 0.8021
B: 0.7775 0.6188 0.1979
B: 0.7775 0.6188 0.8021
B: 0.8680 0.1972 0.5000
B: 0.8815 0.0418 0.5000
B: 0.9416 0.6934 0.5000
Os: 0.0000 0.5000 0.5000
Os: 0.5000 0.0000 0.5000

Principal peaks in the range 2θ = 10–80°, by intensity:
31.0 deg, rel. 100; 22.2 deg, rel. 83; 38.5 deg, rel. 60; 38.4 deg, rel. 53; 27.7 deg, rel. 40; 45.2 deg, rel. 33; 49.4 deg, rel. 28; 43.6 deg, rel. 22

=====

# PrNpB12
Theoretical powder X-ray diffraction pattern, Cu Kα. Input: a crystal structure in Alexandria, relaxed with GGA-PBE.

Structural model:
abc: 4.1162 4.1162 8.2398
angles: 90.00 90.00 90.00
Sites, in units of the cell vectors:
Pr: 0.0000 0.0000 0.0000
Np: 0.0000 0.0000 0.5000
B: 0.1987 0.5000 0.2519
B: 0.1987 0.5000 0.7481
B: 0.5000 0.1987 0.2519
B: 0.5000 0.1987 0.7481
B: 0.5000 0.5000 0.1004
B: 0.5000 0.5000 0.4015
B: 0.5000 0.5000 0.5985
B: 0.5000 0.5000 0.8996
B: 0.5000 0.8013 0.2519
B: 0.5000 0.8013 0.7481
B: 0.8013 0.5000 0.2519
B: 0.8013 0.5000 0.7481

Principal peaks in the range 2θ = 10–80°, by intensity:
30.7 deg, rel. 100; 21.6 deg, rel. 75; 49.5 deg, rel. 51; 37.8 deg, rel. 42; 54.6 deg, rel. 31; 68.3 deg, rel. 28; 44.0 deg, rel. 21; 72.6 deg, rel. 20

=====

# Np3B2Pt9
Theoretical powder X-ray diffraction pattern, Cu Kα. Input: a crystal structure in Alexandria, relaxed with GGA-PBE.

Structural model:
abc: 6.4194 6.4194 14.6689
angles: 90.00 90.00 128.33
Sites, in units of the cell vectors:
Np: 0.0784 0.9216 0.7500
Np: 0.3085 0.6915 0.0942
Np: 0.3085 0.6915 0.4058
Np: 0.6915 0.3085 0.5942
Np: 0.6915 0.3085 0.9058
Np: 0.9216 0.0784 0.2500
B: 0.3031 0.6969 0.6321
B: 0.3031 0.6969 0.8679
B: 0.6969 0.3031 0.1321
B: 0.6969 0.3031 0.3679
Pt: 0.0707 0.4236 0.7500
Pt: 0.1483 0.8517 0.5594
Pt: 0.1483 0.8517 0.9406
Pt: 0.1956 0.3135 0.5849
Pt: 0.1956 0.3135 0.9151
Pt: 0.3135 0.1956 0.0849
Pt: 0.3135 0.1956 0.4151
Pt: 0.4236 0.0707 0.2500
Pt: 0.4640 0.5360 0.2500
Pt: 0.5360 0.4640 0.7500
Pt: 0.5764 0.9293 0.7500
Pt: 0.6865 0.8044 0.5849
Pt: 0.6865 0.8044 0.9151
Pt: 0.8044 0.6865 0.0849
Pt: 0.8044 0.6865 0.4151
Pt: 0.8517 0.1483 0.0594
Pt: 0.8517 0.1483 0.4406
Pt: 0.9293 0.5764 0.2500

Principal peaks in the range 2θ = 10–80°, by intensity:
36.1 deg, rel. 100; 36.8 deg, rel. 33; 37.8 deg, rel. 26; 47.6 deg, rel. 20; 43.6 deg, rel. 20; 78.4 deg, rel. 14; 57.2 deg, rel. 11; 65.8 deg, rel. 9

=====

# NpBPt
Theoretical powder X-ray diffraction pattern, Cu Kα. Input: a crystal structure in Alexandria, relaxed with GGA-PBE.

Structural model:
abc: 7.5852 5.9764 5.2139
angles: 85.06 51.72 43.22
Sites, in units of the cell vectors:
Np: 0.1710 0.1710 0.8290
Np: 0.8290 0.8290 0.1710
B: 0.2500 0.2500 0.2500
B: 0.7500 0.7500 0.7500
Pt: 0.3604 0.6396 0.3604
Pt: 0.6396 0.3604 0.6396

Principal peaks in the range 2θ = 10–80°, by intensity:
37.2 deg, rel. 100; 39.5 deg, rel. 52; 17.9 deg, rel. 41; 39.6 deg, rel. 33; 23.7 deg, rel. 29; 56.3 deg, rel. 24; 77.6 deg, rel. 18; 47.5 deg, rel. 17

=====

# Rb2NpBSe5
Theoretical powder X-ray diffraction pattern, Cu Kα. Input: a crystal structure in Alexandria, relaxed with GGA-PBE.

Structural model:
abc: 10.1368 10.1368 14.7979
angles: 90.16 90.16 22.98
Sites, in units of the cell vectors:
Rb: 0.0000 0.0000 0.0000
Rb: 0.0126 0.0126 0.3500
Rb: 0.7503 0.7503 0.8517
Rb: 0.7638 0.7638 0.5009
Np: 0.0704 0.0704 0.6917
Np: 0.6932 0.6932 0.1925
B: 0.3025 0.3025 0.0715
B: 0.4611 0.4611 0.5698
Se: 0.1959 0.1959 0.3193
Se: 0.2007 0.2007 0.0551
Se: 0.2006 0.2006 0.6737
Se: 0.3620 0.3620 0.9676
Se: 0.4013 0.4013 0.4658
Se: 0.5630 0.5630 0.1732
Se: 0.5629 0.5629 0.5540
Se: 0.5674 0.5674 0.8185
Se: 0.8286 0.8286 0.1579
Se: 0.9351 0.9351 0.6561

Principal peaks in the range 2θ = 10–80°, by intensity:
28.9 deg, rel. 100; 14.9 deg, rel. 43; 10.7 deg, rel. 42; 12.0 deg, rel. 25; 27.6 deg, rel. 23; 38.2 deg, rel. 19; 33.9 deg, rel. 19; 35.6 deg, rel. 17

=====

Number 3 is which compound?
NpB6